1.
FeH12C4S4O6: simulated XRD peak list (Cu Ka), based on a structure optimized by DFT (PBE+U).
Lines closer than 0.1° are merged.

Largest 10 diffraction maxima, sorted by position, 2θ from 10° to 80°:
d/Å, 2θ (°), intensity
6.885, 12.9, 100.0
6.551, 13.5, 61.9
5.102, 17.4, 52.0
3.233, 27.6, 78.9
3.009, 29.7, 26.6
2.892, 30.9, 15.7
2.821, 31.7, 21.3
2.738, 32.7, 21.8
2.696, 33.2, 33.3
2.339, 38.5, 21.4

Cell lengths 7.0640, 7.4071, 7.6444 Å; angles 69.79, 69.37, 76.12 degrees
Fractional coordinates of all 27 atoms:
Fe 0.0000 0.0000 0.0000
H 0.1197 0.5365 0.1088
H 0.1716 0.3163 0.9645
H 0.1997 0.3089 0.7447
H 0.2625 0.3728 0.2142
H 0.3451 0.5045 0.4236
H 0.4517 0.2886 0.4511
H 0.5483 0.7114 0.5489
H 0.6549 0.4955 0.5764
H 0.7375 0.6272 0.7858
H 0.8003 0.6911 0.2553
H 0.8284 0.6837 0.0355
H 0.8803 0.4635 0.8912
C 0.1027 0.9434 0.3908
C 0.1032 0.9499 0.5790
C 0.8968 0.0501 0.4210
C 0.8973 0.0566 0.6092
S 0.2587 0.8583 0.2083
S 0.2593 0.8759 0.7163
S 0.7407 0.1241 0.2837
S 0.7413 0.1417 0.7917
O 0.1114 0.2769 0.8832
O 0.2278 0.4258 0.0916
O 0.3197 0.3697 0.4905
O 0.6803 0.6303 0.5095
O 0.7722 0.5742 0.9084
O 0.8886 0.7231 0.1168

=====

2.
V2CdO10: simulated XRD peak list (Cu Ka), based on a structure optimized by DFT (PBE+U).
Lines closer than 0.1° are merged.

Largest 10 diffraction maxima, sorted by position, 2θ from 10° to 80°:
d/Å, 2θ (°), intensity
7.906, 11.2, 100.0
5.750, 15.4, 70.5
4.571, 19.4, 76.4
4.015, 22.1, 51.0
3.953, 22.5, 75.8
3.091, 28.9, 33.8
2.952, 30.3, 30.7
2.880, 31.1, 37.8
2.757, 32.5, 36.1
2.693, 33.3, 32.2

Cell lengths 8.5099, 8.5099, 7.0871 Å; angles 107.31, 107.31, 72.64 degrees
Fractional coordinates of all 26 atoms:
V 0.0302 0.9698 0.5000
V 0.1739 0.2342 0.8845
V 0.2342 0.1739 0.3845
V 0.9698 0.0302 0.0000
Cd 0.0985 0.6014 0.6887
Cd 0.6014 0.0985 0.1887
O 0.0075 0.0813 0.7711
O 0.0752 0.4338 0.8670
O 0.0813 0.0075 0.2711
O 0.1235 0.1962 0.1135
O 0.1283 0.7702 0.5179
O 0.1962 0.1235 0.6135
O 0.2282 0.3814 0.4970
O 0.3641 0.6694 0.0368
O 0.3814 0.2282 0.9970
O 0.3814 0.6523 0.2086
O 0.4338 0.0752 0.3670
O 0.6361 0.7555 0.9670
O 0.6429 0.7286 0.5527
O 0.6523 0.3814 0.7086
O 0.6694 0.3641 0.5368
O 0.7286 0.6429 0.0527
O 0.7555 0.6361 0.4670
O 0.7702 0.1283 0.0179
O 0.8231 0.9750 0.3869
O 0.9750 0.8231 0.8869

=====

3.
Li3Mn4O8: simulated XRD peak list (Cu Ka), based on a structure optimized by DFT (PBE+U).
Lines closer than 0.1° are merged.

Largest 10 diffraction maxima, sorted by position, 2θ from 10° to 80°:
d/Å, 2θ (°), intensity
4.875, 18.2, 100.0
4.184, 21.2, 18.9
4.049, 22.0, 21.0
3.037, 29.4, 19.2
2.984, 29.9, 15.8
2.460, 36.5, 11.7
2.438, 36.9, 12.3
2.207, 40.9, 41.6
2.092, 43.2, 36.6
2.025, 44.8, 33.3

Cell lengths 6.0725, 6.0918, 8.0987 Å; angles 90.36, 90.41, 93.06 degrees
Fractional coordinates of all 30 atoms:
Li 0.0000 0.0000 0.0000
Li 0.0000 0.0000 0.5000
Li 0.2388 0.7607 0.2495
Li 0.5000 0.5000 0.0000
Li 0.5000 0.5000 0.5000
Li 0.7612 0.2393 0.7505
Mn 0.0000 0.5000 0.5000
Mn 0.2499 0.2529 0.2499
Mn 0.2499 0.7501 0.7499
Mn 0.2535 0.2496 0.7490
Mn 0.5000 0.0000 0.0000
Mn 0.7465 0.7504 0.2510
Mn 0.7501 0.2499 0.2501
Mn 0.7501 0.7471 0.7501
O 0.0135 0.9693 0.7509
O 0.0193 0.5048 0.7386
O 0.2214 0.2818 0.4928
O 0.2282 0.7303 0.5099
O 0.2707 0.7698 0.9894
O 0.2810 0.2180 0.0059
O 0.4814 0.5357 0.7492
O 0.4818 0.9960 0.7617
O 0.5182 0.0040 0.2383
O 0.5186 0.4643 0.2508
O 0.7190 0.7820 0.9941
O 0.7293 0.2302 0.0106
O 0.7718 0.2697 0.4901
O 0.7786 0.7182 0.5072
O 0.9807 0.4952 0.2614
O 0.9865 0.0307 0.2491

=====

4.
Cs2TlVF6: simulated XRD peak list (Cu Ka), based on a structure optimized by DFT (PBE+U).
Lines closer than 0.1° are merged.

Largest 10 diffraction maxima, sorted by position, 2θ from 10° to 80°:
d/Å, 2θ (°), intensity
5.434, 16.3, 12.0
3.328, 26.8, 100.0
2.838, 31.5, 13.9
2.353, 38.3, 31.4
2.159, 41.8, 9.8
1.921, 47.3, 39.8
1.664, 55.2, 19.7
1.488, 62.4, 20.8
1.358, 69.2, 6.2
1.258, 75.6, 22.7

Cell lengths 6.6551, 6.6551, 6.6551 Å; angles 60.00, 60.00, 60.00 degrees
Fractional coordinates of all 10 atoms:
Cs 0.2500 0.2500 0.2500
Cs 0.7500 0.7500 0.7500
Tl 0.0000 0.0000 0.0000
V 0.5000 0.5000 0.5000
F 0.2888 0.2888 0.7112
F 0.2888 0.7112 0.2888
F 0.2888 0.7112 0.7112
F 0.7112 0.2888 0.2888
F 0.7112 0.2888 0.7112
F 0.7112 0.7112 0.2888